(1)
CuTeN: theoretical X-ray powder pattern (Cu Ka), based on a cell relaxed with GGA-PBE.
No peak broadening, texture or thermal motion is included.

Atomic structure:
Cell: 3.6621 5.4141 5.6967 Å, 111.44 91.67 90.66°
Space group P1 (No. 1)
Unique sites:
Cu1 0.0000 0.0000 0.0000
Cu2 0.4799 0.6384 0.6050
Te1 0.0060 0.0336 0.4666
Te2 0.5047 0.3634 0.0425
N1 0.4803 0.2750 0.6413
N2 0.9835 0.7703 0.6412

The 10 most intense peaks (10° ≤ 2θ ≤ 80°), sorted by position:
- 2θ = 17.60°, 5.038 Å, I = 31
- 2θ = 28.57°, 3.124 Å, I = 47
- 2θ = 29.83°, 2.995 Å, I = 100
- 2θ = 30.53°, 2.928 Å, I = 100
- 2θ = 31.89°, 2.806 Å, I = 48
- 2θ = 33.33°, 2.688 Å, I = 57
- 2θ = 33.83°, 2.649 Å, I = 72
- 2θ = 40.00°, 2.254 Å, I = 25
- 2θ = 41.01°, 2.201 Å, I = 24
- 2θ = 49.84°, 1.830 Å, I = 38

(2)
CuTe2N: theoretical X-ray powder pattern (Cu Ka), based on a cell relaxed with GGA-PBE.
No peak broadening, texture or thermal motion is included.

Atomic structure:
Cell: 4.1395 4.1395 19.6912 Å, 90.00 90.00 120.00°
Space group R-3m (No. 166, hexagonal axes)
Unique sites:
Cu1 0.0000 0.0000 0.0000
Te1 0.0000 0.0000 0.4017
N1 0.0000 0.0000 0.5000

The 10 most intense peaks (10° ≤ 2θ ≤ 80°), sorted by position:
- 2θ = 13.49°, 6.564 Å, I = 50
- 2θ = 25.25°, 3.527 Å, I = 51
- 2θ = 26.46°, 3.369 Å, I = 57
- 2θ = 30.86°, 2.898 Å, I = 17
- 2θ = 33.81°, 2.651 Å, I = 100
- 2θ = 40.77°, 2.213 Å, I = 15
- 2θ = 43.74°, 2.070 Å, I = 57
- 2θ = 53.06°, 1.726 Å, I = 32
- 2θ = 56.40°, 1.631 Å, I = 23
- 2θ = 73.98°, 1.281 Å, I = 20

(3)
CuTeN: theoretical X-ray powder pattern (Cu Ka), based on a cell relaxed with GGA-PBE.
No peak broadening, texture or thermal motion is included.

Atomic structure:
Cell: 4.1489 6.1136 7.6931 Å, 90.00 90.00 90.00°
Space group I2_12_12_1 (No. 24)
Unique sites:
Cu1 0.2127 0.0000 0.2500
Te1 0.2500 0.4761 0.0000
N1 0.0000 0.2500 0.8440

The 10 most intense peaks (10° ≤ 2θ ≤ 80°), sorted by position:
- 2θ = 25.95°, 3.433 Å, I = 9
- 2θ = 29.22°, 3.057 Å, I = 34
- 2θ = 35.03°, 2.561 Å, I = 100
- 2θ = 43.63°, 2.074 Å, I = 11
- 2θ = 47.26°, 1.923 Å, I = 10
- 2θ = 53.37°, 1.717 Å, I = 15
- 2θ = 55.64°, 1.652 Å, I = 23
- 2θ = 56.53°, 1.628 Å, I = 13
- 2θ = 66.27°, 1.410 Å, I = 10
- 2θ = 74.55°, 1.273 Å, I = 9

(4)
Ti3Cu3N: theoretical X-ray powder pattern (Cu Ka), based on a cell relaxed with GGA-PBE.
No peak broadening, texture or thermal motion is included.

Atomic structure:
Cell: 11.2289 11.2289 11.2289 Å, 90.00 90.00 90.00°
Space group Fd-3m (No. 227, origin choice 2)
Unique sites:
Ti1 0.0606 0.3750 0.3750
Cu1 0.0000 0.0000 0.5000
Cu2 0.0409 0.0409 0.7091
N1 0.0000 0.0000 0.0000

The 10 most intense peaks (10° ≤ 2θ ≤ 80°), sorted by position:
- 2θ = 13.66°, 6.483 Å, I = 19
- 2θ = 39.31°, 2.292 Å, I = 25
- 2θ = 41.80°, 2.161 Å, I = 100
- 2θ = 45.71°, 1.985 Å, I = 29
- 2θ = 47.93°, 1.898 Å, I = 7
- 2θ = 48.65°, 1.871 Å, I = 14
- 2θ = 54.18°, 1.693 Å, I = 8
- 2θ = 71.26°, 1.323 Å, I = 25
- 2θ = 72.96°, 1.297 Å, I = 6
- 2θ = 77.99°, 1.225 Å, I = 7

(5)
Zr3TiCu2N: theoretical X-ray powder pattern (Cu Ka), based on a cell relaxed with GGA-PBE.
No peak broadening, texture or thermal motion is included.

Atomic structure:
Cell: 4.1363 4.3767 13.1399 Å, 90.00 90.00 90.00°
Space group Immm (No. 71)
Unique sites:
Zr1 0.0000 0.0000 0.0000
Zr2 0.0000 0.5000 0.1769
Ti1 0.0000 0.0000 0.5000
Cu1 0.0000 0.5000 0.3738
N1 0.0000 0.5000 0.0000

The 10 most intense peaks (10° ≤ 2θ ≤ 80°), sorted by position:
- 2θ = 28.84°, 3.096 Å, I = 12
- 2θ = 29.72°, 3.006 Å, I = 34
- 2θ = 32.76°, 2.734 Å, I = 76
- 2θ = 40.02°, 2.253 Å, I = 15
- 2θ = 40.68°, 2.218 Å, I = 100
- 2θ = 41.24°, 2.189 Å, I = 57
- 2θ = 43.77°, 2.068 Å, I = 32
- 2θ = 59.32°, 1.558 Å, I = 19
- 2θ = 61.70°, 1.503 Å, I = 32
- 2θ = 78.31°, 1.221 Å, I = 13

(6)
Tm6Cu2N: theoretical X-ray powder pattern (Cu Ka), based on a cell relaxed with GGA-PBE.
No peak broadening, texture or thermal motion is included.

Atomic structure:
Cell: 6.3608 6.7361 11.2597 Å, 90.00 123.57 90.00°
Space group P2_1/c (No. 14)
Unique sites:
Tm1 0.1277 0.0255 0.2427
Tm2 0.2455 0.7056 0.0565
Tm3 0.3548 0.1955 0.0569
Cu1 0.2882 0.0736 0.7521
N1 0.0000 0.0000 0.0000

The 10 most intense peaks (10° ≤ 2θ ≤ 80°), sorted by position:
- 2θ = 31.10°, 2.876 Å, I = 25
- 2θ = 31.47°, 2.843 Å, I = 18
- 2θ = 31.60°, 2.832 Å, I = 18
- 2θ = 31.70°, 2.822 Å, I = 36
- 2θ = 32.07°, 2.791 Å, I = 35
- 2θ = 32.45°, 2.759 Å, I = 22
- 2θ = 32.72°, 2.737 Å, I = 100
- 2θ = 33.83°, 2.650 Å, I = 16
- 2θ = 34.29°, 2.615 Å, I = 16
- 2θ = 38.95°, 2.312 Å, I = 23